Cr3CuHg3O8: theoretical powder diffraction line list (copper Kα), based on DFT lattice parameters and positions (PBE+U).
Lines closer than 0.1° are merged.

Crystal structure
```
data_Cr3CuHg3O8
_cell_length_a 10.4548
_cell_length_b 5.9354
_cell_length_c 6.8626
_cell_angle_alpha 90.00
_cell_angle_beta 109.96
_cell_angle_gamma 90.00
_symmetry_space_group_name_H-M 'C 1 2/m 1'
_symmetry_Int_Tables_number 12
loop_
_symmetry_equiv_pos_as_xyz
'x,y,z'
'-x,-y,-z'
'-x,y,-z'
'x,-y,z'
'x+1/2,y+1/2,z'
'-x+1/2,-y+1/2,-z'
'-x+1/2,y+1/2,-z'
'x+1/2,-y+1/2,z'
loop_
_atom_site_label
_atom_site_type_symbol
_atom_site_fract_x
_atom_site_fract_y
_atom_site_fract_z
_atom_site_occupancy
Cr1 Cr 0.0000 0.0000 0.0000 1
Cr2 Cr 0.2500 0.2500 0.0000 1
Cu1 Cu 0.0000 0.5000 0.0000 1
Hg1 Hg 0.0000 0.5000 0.5000 1
Hg2 Hg 0.2500 0.2500 0.5000 1
O1 O 0.0492 0.2526 0.8414 1
O2 O 0.1995 0.0000 0.1562 1
O3 O 0.2049 0.5000 0.1609 1
```

Peak list (6 most intense, 2θ from 10° to 90°, in order of rising 2θ)
d = 6.450 Å, 13.7 deg, I 58, (0 0 1); d = 3.225 Å, 27.7 deg, I 98, (0 0 2); d = 2.540 Å, 35.3 deg, I 90, (2 2 0); d = 2.457 Å, 36.6 deg, I 61, (4 0 0); d = 2.193 Å, 41.2 deg, I 100, (2 2 -2); d = 1.485 Å, 62.5 deg, I 64, (0 4 0)